1.
For CsMn3As3, DFT lattice parameters and positions (PBE) gives the computed PXRD pattern in this record (Cu Kα X-rays).
No peak broadening, texture or thermal motion is included.

Atomic structure:
```
data_CsMn3As3
_chemical_formula_sum 'Cs6 Mn18 As18'
_cell_length_a 6.8649
_cell_length_b 6.8649
_cell_length_c 26.7901
_cell_angle_alpha 90.00
_cell_angle_beta 90.00
_cell_angle_gamma 120.00
_space_group_name_H-M_alt 'R -3'
_space_group_IT_number 148
_space_group_name_Hall '-R 3'
loop_
_atom_site_label
_atom_site_type_symbol
_atom_site_fract_x
_atom_site_fract_y
_atom_site_fract_z
Cs1 Cs 0.0000 0.0000 0.1657
Mn1 Mn 0.0026 0.3163 0.9692
As1 As 0.0046 0.3534 0.0601
```

Most intense lines, 2θ from 15° to 90°, in order of rising 2θ:
h k l	d/Å	two_theta	I/Imax
1 1 3	3.204	27.85	100
0 0 9	2.977	30.02	28
2 -1 6	2.721	32.92	29
2 -1 9	2.249	40.09	20
3 0 0	1.982	45.79	46
1 1 12	1.871	48.65	38
4 -2 3	1.685	54.44	14
0 3 9	1.650	55.72	28



2.
For Y3TlCu8, DFT lattice parameters and positions (PBE) gives the computed PXRD pattern in this record (Cu Kα X-rays).
No peak broadening, texture or thermal motion is included.

Atomic structure:
```
data_Y3TlCu8
_chemical_formula_sum 'Y9 Tl3 Cu24'
_cell_length_a 5.2216
_cell_length_b 5.2216
_cell_length_c 25.7137
_cell_angle_alpha 90.00
_cell_angle_beta 90.00
_cell_angle_gamma 120.00
_space_group_name_H-M_alt 'R 3 m'
_space_group_IT_number 160
_space_group_name_Hall 'R 3 -2"'
loop_
_atom_site_label
_atom_site_type_symbol
_atom_site_fract_x
_atom_site_fract_y
_atom_site_fract_z
Y1 Y 0.0000 0.0000 0.0000
Y2 Y 0.0000 0.0000 0.1254
Y3 Y 0.0000 0.0000 0.5083
Tl1 Tl 0.0000 0.0000 0.6323
Cu1 Cu 0.0000 0.0000 0.3154
Cu2 Cu 0.0000 0.0000 0.8163
Cu3 Cu 0.0028 0.5014 0.0673
Cu4 Cu 0.1697 0.3393 0.8980
```

Most intense lines, 2θ from 15° to 90°, in order of rising 2θ:
h k l	d/Å	two_theta	I/Imax
0 1 8	2.620	34.23	30
1 1 0	2.611	34.35	31
1 0 10	2.235	40.35	31
1 1 6	2.229	40.47	100
0 2 4	2.133	42.38	24
3 0 0	1.509	61.47	17
3 0 6	1.423	65.62	29
2 2 0	1.305	72.39	15



3.
For CaH12Pt6, DFT lattice parameters and positions (PBE) gives the computed PXRD pattern in this record (Cu Kα X-rays).
No peak broadening, texture or thermal motion is included.

Atomic structure:
```
data_CaH12Pt6
_chemical_formula_sum 'Ca3 H36 Pt18'
_cell_length_a 9.8650
_cell_length_b 9.8650
_cell_length_c 6.1454
_cell_angle_alpha 90.00
_cell_angle_beta 90.00
_cell_angle_gamma 120.00
_space_group_name_H-M_alt 'R -3'
_space_group_IT_number 148
_space_group_name_Hall '-R 3'
loop_
_atom_site_label
_atom_site_type_symbol
_atom_site_fract_x
_atom_site_fract_y
_atom_site_fract_z
Ca1 Ca 0.0000 0.0000 0.0000
H1 H 0.0435 0.4206 0.5841
H2 H 0.0624 0.1690 0.3622
Pt1 Pt 0.0793 0.2462 0.6513
```

Most intense lines, 2θ from 15° to 90°, in order of rising 2θ:
h k l	d/Å	two_theta	I/Imax
2 1 1	2.858	31.29	100
2 0 2	2.494	36.01	11
3 -2 2	2.226	40.53	47
0 0 3	2.048	44.21	14
1 4 0	1.865	48.83	34
6 -4 1	1.562	59.17	13
2 1 4	1.387	67.52	10
1 4 3	1.379	67.99	18



4.
For MgBPd3, DFT lattice parameters and positions (PBE) gives the computed PXRD pattern in this record (Cu Kα X-rays).
No peak broadening, texture or thermal motion is included.

Atomic structure:
```
data_MgBPd3
_chemical_formula_sum 'Mg2 B2 Pd6'
_cell_length_a 4.3491
_cell_length_b 5.7781
_cell_length_c 5.7785
_cell_angle_alpha 90.00
_cell_angle_beta 89.95
_cell_angle_gamma 89.86
_space_group_name_H-M_alt 'P 1'
_space_group_IT_number 1
_space_group_name_Hall 'P 1'
loop_
_atom_site_label
_atom_site_type_symbol
_atom_site_fract_x
_atom_site_fract_y
_atom_site_fract_z
Mg1 Mg 0.0000 0.0000 0.0000
Mg2 Mg 0.0000 0.4995 0.5002
B1 B 0.4994 0.9996 0.4995
B2 B 0.4995 0.4996 0.9995
Pd1 Pd 0.9995 0.4997 0.0000
Pd2 Pd 0.4994 0.1962 0.8030
Pd3 Pd 0.4992 0.6962 0.6962
Pd4 Pd 0.5003 0.3031 0.3031
Pd5 Pd 0.5000 0.8031 0.1961
Pd6 Pd 0.9995 0.9994 0.4995
```

Most intense lines, 2θ from 15° to 90°, in order of rising 2θ:
h k l	d/Å	two_theta	I/Imax
1 0 0	4.349	20.42	12
1 1 1	2.978	30.01	20
0 2 1	2.584	34.71	23
1 0 -2	2.407	37.37	100
1 2 1	2.222	40.61	29
2 0 0	2.175	41.53	27
0 2 2	2.043	44.34	26
0 4 1	1.401	66.76	11



5.
For PrNd7Cd2, DFT lattice parameters and positions (PBE) gives the computed PXRD pattern in this record (Cu Kα X-rays).
No peak broadening, texture or thermal motion is included.

Atomic structure:
```
data_PrNd7Cd2
_chemical_formula_sum 'Pr2 Nd14 Cd4'
_cell_length_a 9.1759
_cell_length_b 16.0325
_cell_length_c 5.4577
_cell_angle_alpha 90.00
_cell_angle_beta 90.00
_cell_angle_gamma 90.00
_space_group_name_H-M_alt 'C m m m'
_space_group_IT_number 65
_space_group_name_Hall '-C 2 2'
loop_
_atom_site_label
_atom_site_type_symbol
_atom_site_fract_x
_atom_site_fract_y
_atom_site_fract_z
Pr1 Pr 0.0000 0.0000 0.0000
Nd1 Nd 0.0000 0.2275 0.0000
Nd2 Nd 0.0000 0.5000 0.5000
Nd3 Nd 0.1829 0.1190 0.5000
Cd1 Cd 0.0000 0.3035 0.5000
```

Most intense lines, 2θ from 15° to 90°, in order of rising 2θ:
h k l	d/Å	two_theta	I/Imax
0 0 1	5.458	16.24	46
0 4 1	3.231	27.61	55
2 4 0	3.019	29.59	78
0 0 2	2.729	32.82	58
1 5 1	2.648	33.85	100
3 1 1	2.632	34.06	72
2 4 2	2.024	44.77	50
6 0 0	1.529	60.55	34



6.
For Ca2NdH6Ru, DFT lattice parameters and positions (PBE) gives the computed PXRD pattern in this record (Cu Kα X-rays).
No peak broadening, texture or thermal motion is included.

Atomic structure:
```
data_Ca2NdH6Ru
_chemical_formula_sum 'Ca2 Nd1 H6 Ru1'
_cell_length_a 5.0577
_cell_length_b 5.0577
_cell_length_c 6.2445
_cell_angle_alpha 90.00
_cell_angle_beta 90.00
_cell_angle_gamma 120.00
_space_group_name_H-M_alt 'P -3 m 1'
_space_group_IT_number 164
_space_group_name_Hall '-P 3 2"'
loop_
_atom_site_label
_atom_site_type_symbol
_atom_site_fract_x
_atom_site_fract_y
_atom_site_fract_z
Ca1 Ca 0.3333 0.6667 0.1567
Nd1 Nd 0.0000 0.0000 0.5000
H1 H 0.1589 0.3178 0.8335
Ru1 Ru 0.0000 0.0000 0.0000
```

Most intense lines, 2θ from 15° to 90°, in order of rising 2θ:
h k l	d/Å	two_theta	I/Imax
1 0 0	4.380	20.27	100
1 0 1	3.586	24.83	22
0 1 2	2.542	35.30	84
1 1 0	2.529	35.50	61
1 1 2	1.965	46.19	25
2 0 2	1.793	50.93	30
1 0 4	1.471	63.24	16
1 2 2	1.463	63.62	29